Simulated powder diffractogram
Compound: GdZn2Ag2
Radiation: Cu Kα (weighted mean of Kα1 and Kα2)
Structure: a DFT-relaxed cell (PBE, OQMD)

Most intense lines, 2θ from 10° to 90°, in order of rising 2θ:
| hkl | 2θ/deg | I_rel |
| --- | --- | --- |
| 0 0 1 | 20.7 | 519 |
| 0 2 1 | 28.9 | 349 |
| 2 0 0 | 32.5 | 167 |
| 1 3 0 | 34.3 | 734 |
| 2 2 0 | 38.4 | 163 |
| 2 0 1 | 38.8 | 1000 |
| 1 3 1 | 40.4 | 963 |
| 0 0 2 | 42.1 | 396 |
| 1 3 2 | 55.4 | 362 |
| 3 3 1 | 63.3 | 236 |
| 0 6 1 | 66.6 | 184 |
| 2 6 2 | 87.3 | 177 |

Cell and atoms:
Cell lengths 5.5114, 8.9156, 4.2905 Å; angles 90.00, 90.00, 90.00 degrees
Space group Pbam (No. 55)
Asymmetric unit:
Gd  0.0000  0.0000  0.0000
Zn  0.2482  0.2481  0.5000
Ag  0.9999  0.3422  0.0000


Simulated powder diffractogram
Compound: Ag10Ge
Radiation: Cu Kα (weighted mean of Kα1 and Kα2)
Structure: a DFT-relaxed cell (PBE, OQMD)

Most intense lines, 2θ from 10° to 90°, in order of rising 2θ:
| hkl | 2θ/deg | I_rel |
| --- | --- | --- |
| 1 1 10 | 35.0 | 221 |
| 1 1 11 | 37.0 | 1000 |
| 3 1 -3 | 37.4 | 552 |
| 3 1 -4 | 38.0 | 895 |
| 1 1 12 | 39.0 | 380 |
| 2 0 -15 | 43.3 | 314 |
| 4 0 7 | 43.4 | 283 |
| 0 2 0 | 44.1 | 494 |
| 4 0 8 | 44.6 | 207 |
| 2 2 -15 | 63.4 | 269 |
| 4 2 7 | 63.5 | 160 |
| 3 3 -4 | 76.9 | 191 |

Cell and atoms:
Cell lengths 9.1895, 4.1135, 35.1550 Å; angles 90.00, 90.25, 90.00 degrees
Space group C2/m (No. 12)
Asymmetric unit:
Ag  0.0475  0.0000  0.2692
Ag  0.0489  0.5000  0.4060
Ag  0.0494  0.5000  0.6753
Ag  0.0508  0.0000  0.5402
Ag  0.1489  0.0000  0.3524
Ag  0.1504  0.0000  0.6211
Ag  0.1499  0.5000  0.4864
Ag  0.1506  0.5000  0.7587
Ag  0.2495  0.0000  0.4328
Ag  0.2496  0.0000  0.7009
Ge  0.1524  0.5000  0.2249


Simulated powder diffractogram
Compound: Ag15Ge
Radiation: Cu Kα (weighted mean of Kα1 and Kα2)
Structure: a DFT-relaxed cell (PBE, OQMD)

Most intense lines, 2θ from 10° to 90°, in order of rising 2θ:
| hkl | 2θ/deg | I_rel |
| --- | --- | --- |
| 1 12 -1 | 36.0 | 623 |
| 2 0 0 | 37.7 | 1000 |
| 2 1 0 | 37.8 | 452 |
| 1 13 -1 | 38.0 | 835 |
| 1 12 1 | 42.4 | 386 |
| 2 0 -2 | 43.6 | 326 |
| 2 1 -2 | 43.7 | 156 |
| 1 13 1 | 44.2 | 537 |
| 3 12 -1 | 62.5 | 231 |
| 3 13 -1 | 63.8 | 338 |
| 2 25 0 | 74.8 | 202 |
| 4 0 -2 | 76.2 | 170 |

Cell and atoms:
Cell lengths 5.0684, 37.4790, 5.0718 Å; angles 90.00, 109.91, 90.00 degrees
Space group P2/c (No. 13)
Asymmetric unit:
Ag  0.0000  0.0196  0.2500
Ag  0.0000  0.0595  0.7500
Ag  0.0000  0.0984  0.2500
Ag  0.0000  0.1384  0.7500
Ag  0.0000  0.1778  0.2500
Ag  0.0000  0.2169  0.7500
Ag  0.0000  0.2593  0.2500
Ag  0.0000  0.2948  0.7500
Ag  0.5000  0.0196  0.7500
Ag  0.5000  0.0591  0.2500
Ag  0.5000  0.0984  0.7500
Ag  0.5000  0.1380  0.2500
Ag  0.5000  0.1776  0.7500
Ag  0.5000  0.2172  0.2500
Ag  0.5000  0.2592  0.7500
Ge  0.5000  0.2906  0.2500


Simulated powder diffractogram
Compound: Ag2Ge5
Radiation: Cu Kα (weighted mean of Kα1 and Kα2)
Structure: a DFT-relaxed cell (PBE, OQMD)

Most intense lines, 2θ from 10° to 90°, in order of rising 2θ:
| hkl | 2θ/deg | I_rel |
| --- | --- | --- |
| 0 1 2 | 23.3 | 95 |
| 1 0 4 | 27.1 | 151 |
| 0 1 5 | 29.6 | 94 |
| 1 0 7 | 35.6 | 63 |
| 1 1 0 | 38.5 | 1000 |
| 0 1 8 | 38.9 | 912 |
| 2 0 8 | 55.9 | 307 |
| 3 0 0 | 69.7 | 165 |
| 1 2 8 | 69.9 | 307 |
| 1 0 16 | 70.7 | 123 |
| 2 2 0 | 82.5 | 104 |
| 0 2 16 | 83.6 | 78 |

Cell and atoms:
Cell lengths 4.6747, 4.6747, 22.5650 Å; angles 90.00, 90.00, 120.00 degrees
Space group R3m (No. 160, hexagonal axes)
Asymmetric unit:
Ag  0.0000  0.0000  0.0000
Ag  0.0000  0.0000  0.4877
Ge  0.0000  0.0000  0.2351
Ge  0.0000  0.0000  0.3675
Ge  0.0000  0.0000  0.6199
Ge  0.0000  0.0000  0.7452
Ge  0.0000  0.0000  0.8643


Simulated powder diffractogram
Compound: Ag15Ge
Radiation: Cu Kα (weighted mean of Kα1 and Kα2)
Structure: a DFT-relaxed cell (PBE, OQMD)

Most intense lines, 2θ from 10° to 90°, in order of rising 2θ:
| hkl | 2θ/deg | I_rel |
| --- | --- | --- |
| 0 1 11 | 37.2 | 1000 |
| 2 0 11 | 37.4 | 989 |
| 0 1 12 | 38.4 | 275 |
| 2 0 12 | 38.5 | 257 |
| 0 0 22 | 42.5 | 305 |
| 2 1 0 | 43.8 | 656 |
| 2 1 1 | 43.8 | 178 |
| 0 0 23 | 44.5 | 144 |
| 2 1 22 | 62.6 | 355 |
| 0 2 0 | 63.5 | 128 |
| 2 2 11 | 76.0 | 227 |
| 4 1 11 | 76.3 | 225 |

Cell and atoms:
Cell lengths 5.8318, 2.9315, 46.8391 Å; angles 90.00, 90.03, 90.00 degrees
Space group P2_1/m (No. 11)
Asymmetric unit:
Ag  0.1230  0.2500  0.2916
Ag  0.1250  0.2500  0.0224
Ag  0.1251  0.2500  0.1120
Ag  0.1248  0.2500  0.2014
Ag  0.1249  0.2500  0.7538
Ag  0.1250  0.2500  0.8434
Ag  0.1250  0.2500  0.9328
Ag  0.3730  0.7500  0.7084
Ag  0.3750  0.7500  0.0671
Ag  0.3750  0.7500  0.1568
Ag  0.3749  0.7500  0.2463
Ag  0.3751  0.7500  0.3357
Ag  0.3748  0.7500  0.7985
Ag  0.3751  0.7500  0.8881
Ag  0.3750  0.7500  0.9776
Ge  0.1251  0.2500  0.6645


Simulated powder diffractogram
Compound: AgGe2
Radiation: Cu Kα (weighted mean of Kα1 and Kα2)
Structure: a DFT-relaxed cell (PBE, OQMD)

Most intense lines, 2θ from 10° to 90°, in order of rising 2θ:
| hkl | 2θ/deg | I_rel |
| --- | --- | --- |
| 1 0 2 | 24.6 | 396 |
| 1 1 2 | 33.4 | 480 |
| 2 1 0 | 34.1 | 716 |
| 1 0 3 | 34.2 | 392 |
| 2 1 1 | 35.8 | 984 |
| 1 1 3 | 41.2 | 1000 |
| 3 0 2 | 44.5 | 546 |
| 0 2 0 | 45.3 | 480 |
| 3 1 1 | 46.4 | 147 |
| 1 2 3 | 58.0 | 167 |
| 3 2 2 | 65.4 | 332 |
| 2 1 5 | 65.5 | 320 |

Cell and atoms:
Cell lengths 6.9691, 4.0031, 8.4803 Å; angles 90.00, 90.00, 90.00 degrees
Space group Pnma (No. 62)
Asymmetric unit:
Ag  0.2300  0.2500  0.1471
Ge  0.0551  0.2500  0.8494
Ge  0.1249  0.2500  0.4506


Simulated powder diffractogram
Compound: Ag7Ge
Radiation: Cu Kα (weighted mean of Kα1 and Kα2)
Structure: a DFT-relaxed cell (PBE, OQMD)

Most intense lines, 2θ from 10° to 90°, in order of rising 2θ:
| hkl | 2θ/deg | I_rel |
| --- | --- | --- |
| 0 1 12 | 35.6 | 474 |
| 0 1 13 | 37.5 | 970 |
| 1 1 0 | 37.8 | 1000 |
| 1 1 1 | 37.9 | 506 |
| 1 0 12 | 42.4 | 284 |
| 0 2 0 | 43.1 | 513 |
| 1 0 13 | 44.2 | 613 |
| 1 2 13 | 63.4 | 388 |
| 1 1 25 | 74.1 | 188 |
| 1 3 0 | 75.5 | 182 |
| 1 1 26 | 76.6 | 209 |
| 2 1 13 | 77.2 | 217 |

Cell and atoms:
Cell lengths 2.8850, 4.2006, 37.9171 Å; angles 90.00, 90.00, 90.00 degrees
Space group Pmmn (No. 59, origin choice 2)
Asymmetric unit:
Ag  0.2500  0.2500  0.0192
Ag  0.2500  0.2500  0.0968
Ag  0.2500  0.2500  0.1750
Ag  0.2500  0.2500  0.2561
Ag  0.2500  0.2500  0.7855
Ag  0.2500  0.2500  0.8637
Ag  0.2500  0.2500  0.9417
Ge  0.2500  0.2500  0.7118


Simulated powder diffractogram
Compound: Ag17Ge
Radiation: Cu Kα (weighted mean of Kα1 and Kα2)
Structure: a DFT-relaxed cell (PBE, OQMD)

Most intense lines, 2θ from 10° to 90°, in order of rising 2θ:
| hkl | 2θ/deg | I_rel |
| --- | --- | --- |
| 0 0 14 | 36.2 | 518 |
| 1 2 -4 | 37.0 | 506 |
| 2 0 4 | 37.2 | 249 |
| 1 2 -5 | 37.9 | 1000 |
| 2 0 5 | 38.0 | 493 |
| 0 0 15 | 38.9 | 370 |
| 1 2 9 | 42.8 | 504 |
| 2 0 -9 | 42.9 | 249 |
| 1 2 10 | 44.3 | 534 |
| 2 0 -10 | 44.5 | 260 |
| 3 2 0 | 64.0 | 308 |
| 2 0 -24 | 75.8 | 284 |

Cell and atoms:
Cell lengths 5.0326, 5.8492, 34.7210 Å; angles 90.00, 90.04, 90.00 degrees
Space group P2_1/m (No. 11)
Asymmetric unit:
Ag  0.0000  0.0000  0.0000
Ag  0.0006  0.0018  0.7907
Ag  0.1661  0.2500  0.1398
Ag  0.1664  0.7500  0.7209
Ag  0.1664  0.7500  0.9303
Ag  0.1669  0.2500  0.9302
Ag  0.1680  0.7500  0.1393
Ag  0.3332  0.0006  0.0696
Ag  0.3335  0.5026  0.2792
Ag  0.3336  0.5006  0.8607
Ag  0.4970  0.2500  0.7910
Ag  0.4980  0.2500  0.2091
Ag  0.5005  0.2500  0.9999
Ge  0.1671  0.2500  0.7219